Diffraction record for Ti3Al3Zn2. The XRD peak list is computed, not measured: it uses a cell relaxed with GGA-PBE and Cu Ka.
Neutral-atom scattering factors, no anomalous dispersion.

Peak list (12 most intense, 15 to 90 degrees two-theta, sorted by position)
- hkl 1 1 0, d 3.975, rel. 19
- hkl 1 0 1, d 3.391, rel. 26
- hkl 0 0 2, d 2.786, rel. 14
- hkl 0 4 0, d 2.701, rel. 14
- hkl 1 3 1, d 2.471, rel. 28
- hkl 0 4 1, d 2.434, rel. 15
- hkl 1 0 2, d 2.334, rel. 17
- hkl 1 1 2, d 2.281, rel. 65
- hkl 2 0 0, d 2.137, rel. 45
- hkl 1 4 1, d 2.115, rel. 100
- hkl 0 5 1, d 2.018, rel. 17
- hkl 3 4 1, d 1.229, rel. 15

Structural model:
Cell lengths 4.2730, 10.8242, 5.5724 Å; angles 90.00, 90.00, 90.00 degrees
Space group Pmmn (No. 59, origin choice 2)
Inequivalent atoms, fractional coordinates:
Ti 0.2500 0.1034 0.0936 x4
Ti 0.2500 0.7500 0.7861 x2
Al 0.2500 0.2500 0.5303 x2
Al 0.2500 0.5052 0.6442 x4
Zn 0.2500 0.6365 0.2455 x4

=====

Diffraction record for Ti4AlZn. The XRD peak list is computed, not measured: it uses a cell relaxed with GGA-PBE and Cu Ka.
Neutral-atom scattering factors, no anomalous dispersion.

Peak list (12 most intense, 15 to 90 degrees two-theta, sorted by position)
- hkl 1 2 0, d 5.872, rel. 17
- hkl 4 0 0, d 2.522, rel. 22
- hkl 0 6 0, d 2.409, rel. 69
- hkl 4 2 0, d 2.379, rel. 68
- hkl 2 1 1, d 2.345, rel. 39
- hkl 0 4 1, d 2.160, rel. 37
- hkl 2 3 1, d 2.131, rel. 100
- hkl 4 4 0, d 2.066, rel. 49
- hkl 4 2 1, d 1.783, rel. 24
- hkl 6 3 1, d 1.367, rel. 21
- hkl 4 8 1, d 1.289, rel. 23
- hkl 4 2 2, d 1.173, rel. 15

Structural model:
Cell lengths 10.0759, 14.4524, 2.6955 Å; angles 90.00, 90.00, 90.00 degrees
Space group Pbam (No. 55)
Inequivalent atoms, fractional coordinates:
Ti 0.0024 0.2503 0.0000 x4
Ti 0.1235 0.5723 0.0000 x4
Ti 0.1239 0.9314 0.0000 x4
Ti 0.2494 0.7515 0.0000 x4
Al 0.1264 0.4002 0.5000 x4
Zn 0.1264 0.1015 0.5000 x4

=====

Diffraction record for Ti5AlZn2. The XRD peak list is computed, not measured: it uses a cell relaxed with GGA-PBE and Cu Ka.
Neutral-atom scattering factors, no anomalous dispersion.

Peak list (12 most intense, 15 to 90 degrees two-theta, sorted by position)
- hkl 1 0 1, d 3.884, rel. 1
- hkl 1 1 2, d 2.670, rel. 5
- hkl 1 1 4, d 2.313, rel. 100
- hkl 0 0 8, d 2.007, rel. 16
- hkl 2 0 0, d 2.001, rel. 32
- hkl 1 1 6, d 1.943, rel. 4
- hkl 2 0 8, d 1.417, rel. 19
- hkl 2 2 0, d 1.415, rel. 9
- hkl 2 0 10, d 1.252, rel. 1
- hkl 1 1 12, d 1.210, rel. 11
- hkl 3 1 4, d 1.207, rel. 21
- hkl 2 2 8, d 1.157, rel. 9

Structural model:
Cell lengths 4.0026, 4.0026, 16.0550 Å; angles 90.00, 90.00, 90.00 degrees
Space group I4/mmm (No. 139)
Inequivalent atoms, fractional coordinates:
Ti 0.0000 0.0000 0.0000 x2
Ti 0.0000 0.5000 0.1267 x8
Al 0.0000 0.0000 0.5000 x2
Zn 0.0000 0.0000 0.2500 x4

=====

Diffraction record for Ti5Al3Zn3. The XRD peak list is computed, not measured: it uses a cell relaxed with GGA-PBE and Cu Ka.
Neutral-atom scattering factors, no anomalous dispersion.

Peak list (12 most intense, 15 to 90 degrees two-theta, sorted by position)
- hkl 0 1 0, d 2.745, rel. 95
- hkl 3 0 -1, d 2.673, rel. 27
- hkl 3 0 -2, d 2.629, rel. 55
- hkl 2 0 2, d 2.364, rel. 100
- hkl 1 0 -4, d 2.270, rel. 55
- hkl 2 0 -4, d 2.247, rel. 58
- hkl 1 1 -3, d 2.040, rel. 37
- hkl 4 0 -2, d 2.013, rel. 31
- hkl 3 1 -1, d 1.915, rel. 28
- hkl 3 1 -2, d 1.899, rel. 44
- hkl 2 1 2, d 1.791, rel. 48
- hkl 2 1 -4, d 1.739, rel. 30

Structural model:
Cell lengths 8.0649, 2.7451, 9.1498 Å; angles 90.00, 113.01, 90.00 degrees
Space group Pm (No. 6)
Inequivalent atoms, fractional coordinates:
Ti 0.0000 0.0000 0.0000 x1
Ti 0.0483 0.0000 0.3369 x1
Ti 0.2012 0.0000 0.7027 x1
Ti 0.3901 0.0000 0.0211 x1
Ti 0.6189 0.0000 0.3247 x1
Al 0.2880 0.5000 0.2359 x1
Al 0.7439 0.5000 0.1134 x1
Al 0.9091 0.5000 0.5163 x1
Zn 0.4141 0.0000 0.5237 x1
Zn 0.5807 0.0000 0.8344 x1
Zn 0.7724 0.0000 0.6780 x1